Record 1
Zr3TlB4: calculated powder diffraction line list (Cu Kα, 1.54184 Å), based on a GGA-PBE-relaxed structure.

Crystal structure
Unit cell a=3.147 b=3.426 c=10.282 alpha=90.00 beta=90.00 gamma=90.00
Space group Pmmm (No. 47)
Inequivalent atoms, fractional coordinates:
Zr: 0.000 0.000 0.000 [1 per cell]
Zr: 0.500 0.000 0.275 [2 per cell]
Tl: 0.000 0.500 0.500 [1 per cell]
B: 0.000 0.500 0.175 [2 per cell]
B: 0.500 0.500 0.097 [2 per cell]

Peak list (10 most intense, 5 to 70 degrees two-theta, by angle)
index	d (Å)	I (rel.)
0 0 1	10.282	55
0 1 1	3.251	46
0 1 2	2.851	44
1 0 2	2.684	100
0 0 4	2.571	39
0 1 3	2.423	57
1 1 0	2.318	40
1 1 1	2.261	64
1 1 5	1.538	28
1 2 2	1.444	30

---

Record 2
Al28W: calculated powder diffraction line list (Cu Kα, 1.54184 Å), based on a GGA-PBE-relaxed structure.

Crystal structure
Unit cell a=9.880 b=9.880 c=9.880 alpha=90.00 beta=90.00 gamma=90.00
Space group I-43m (No. 217)
Inequivalent atoms, fractional coordinates:
Al: 0.053 0.361 0.639 [24 per cell]
Al: 0.093 0.093 0.717 [24 per cell]
Al: 0.165 0.165 0.165 [8 per cell]
W: 0.000 0.000 0.000 [2 per cell]

Peak list (10 most intense, 5 to 70 degrees two-theta, by angle)
index	d (Å)	I (rel.)
1 1 0	6.986	60
2 0 0	4.940	14
2 1 1	4.033	27
3 1 0	3.124	18
3 2 1	2.641	34
4 1 1	2.329	100
3 3 2	2.106	24
4 2 2	2.017	18
5 5 0	1.397	21
7 2 1	1.344	25

---

Record 3
HoLuSnC: calculated powder diffraction line list (Cu Kα, 1.54184 Å), based on a GGA-PBE-relaxed structure.

Crystal structure
Unit cell a=3.5654 b=3.5654 c=15.6217 alpha=90.00 beta=90.00 gamma=120.00
Space group P-3m1 (No. 164)
Inequivalent atoms, fractional coordinates:
Ho: 0.3333 0.6667 0.0854 [2 per cell]
Lu: 0.3333 0.6667 0.4175 [2 per cell]
Sn: 0.3333 0.6667 0.7472 [2 per cell]
C: 0.0000 0.0000 0.0000 [1 per cell]
C: 0.0000 0.0000 0.5000 [1 per cell]

Peak list (10 most intense, 5 to 70 degrees two-theta, by angle)
index	d (Å)	I (rel.)
0 0 2	7.811	5
1 0 0	3.088	22
0 1 3	2.656	100
0 0 6	2.604	20
1 0 6	1.990	16
1 1 0	1.783	22
2 0 0	1.544	3
0 1 9	1.513	18
2 0 3	1.480	17
1 1 6	1.471	21

---

Record 4
Gd2DyMg4Al2: calculated powder diffraction line list (Cu Kα, 1.54184 Å), based on a GGA-PBE-relaxed structure.

Crystal structure
Unit cell a=4.587 b=12.976 c=7.528 alpha=90.00 beta=90.00 gamma=90.00
Space group Amm2 (No. 38)
Inequivalent atoms, fractional coordinates:
Gd: 0.000 0.217 0.000 [4 per cell]
Dy: 0.000 0.000 0.347 [2 per cell]
Mg: 0.000 0.000 0.781 [2 per cell]
Mg: 0.500 0.000 0.032 [2 per cell]
Mg: 0.500 0.125 0.657 [4 per cell]
Al: 0.500 0.166 0.283 [4 per cell]

Peak list (10 most intense, 5 to 70 degrees two-theta, by angle)
index	d (Å)	I (rel.)
0 1 1	6.505	24
1 0 0	4.587	43
0 3 1	3.754	40
0 2 2	3.256	33
1 3 1	2.905	75
1 4 0	2.653	100
2 0 0	2.293	21
2 2 2	1.874	25
1 5 3	1.678	27
2 7 1	1.416	21